Record 1
Diffraction record for Tm5Pt3. The powder diffraction line list is computed, not measured: it uses the PBE geometry in the Materials Project and Cu Ka.
Kinematic intensities with the Lorentz-polarization factor, no thermal factor.

Largest 10 diffraction maxima, most intense first, 10 to 90 degrees two-theta:
2θ = 35.99°, intensity 100; 2θ = 36.57°, intensity 78; 2θ = 37.25°, intensity 45; 2θ = 56.54°, intensity 28; 2θ = 32.72°, intensity 26; 2θ = 29.41°, intensity 23; 2θ = 47.70°, intensity 18; 2θ = 72.28°, intensity 17; 2θ = 73.73°, intensity 17; 2θ = 53.19°, intensity 16

```
16
Lattice="8.361 0.000 0.000 -4.181 7.241 0.000 0.000 0.000 6.074" Properties=species:S:1:pos:R:3 pbc="T T T"
Tm -1.027 1.780 1.519
Tm -3.153 5.461 4.556
Tm 2.055 0.000 1.519
Tm 1.027 1.780 4.556
Tm 0.000 4.827 0.000
Tm 0.000 4.827 3.037
Tm 4.181 2.414 0.000
Tm 4.181 2.414 3.037
Tm 6.306 0.000 4.556
Tm 3.153 5.461 1.519
Pt -1.649 2.857 4.556
Pt -2.531 4.384 1.519
Pt 3.298 0.000 4.556
Pt 1.649 2.857 1.519
Pt 5.063 0.000 1.519
Pt 2.531 4.384 4.556
```

***

Record 2
Diffraction record for Mg14NbBiO16. The powder diffraction line list is computed, not measured: it uses the PBE geometry in the Materials Project and Cu Ka.
Kinematic intensities with the Lorentz-polarization factor, no thermal factor.

Largest 10 diffraction maxima, most intense first, 10 to 90 degrees two-theta:
2θ = 41.29°, intensity 100; 2θ = 14.32°, intensity 82; 2θ = 58.96°, intensity 63; 2θ = 35.24°, intensity 60; 2θ = 24.50°, intensity 58; 2θ = 40.16°, intensity 55; 2θ = 20.31°, intensity 47; 2θ = 28.49°, intensity 42; 2θ = 38.21°, intensity 39; 2θ = 32.37°, intensity 35

```
32
Lattice="8.747 0.000 0.000 0.000 8.747 0.000 0.000 0.000 4.491" Properties=species:S:1:pos:R:3 pbc="T T T"
Mg 0.000 2.203 0.000
Mg 0.000 4.373 2.246
Mg 0.000 6.544 0.000
Mg 2.077 4.373 0.000
Mg 2.135 2.135 2.246
Mg 2.135 6.612 2.246
Mg 2.203 0.000 0.000
Mg 4.373 0.000 2.246
Mg 4.373 2.077 0.000
Mg 4.373 6.670 0.000
Mg 6.544 0.000 0.000
Mg 6.612 2.135 2.246
Mg 6.612 6.612 2.246
Mg 6.670 4.373 0.000
Nb 0.000 0.000 2.246
Bi 4.373 4.373 2.246
O 0.000 0.000 0.000
O 0.000 2.279 2.246
O 0.000 4.373 0.000
O 0.000 6.468 2.246
O 2.020 4.373 2.246
O 2.195 2.195 0.000
O 2.195 6.552 0.000
O 2.279 0.000 2.246
O 4.373 0.000 0.000
O 4.373 2.020 2.246
O 4.373 4.373 0.000
O 4.373 6.727 2.246
O 6.468 0.000 2.246
O 6.552 2.195 0.000
O 6.552 6.552 0.000
O 6.727 4.373 2.246
```

***

Record 3
Diffraction record for CeHfMg14. The powder diffraction line list is computed, not measured: it uses the PBE geometry in the Materials Project and Cu Ka.
Kinematic intensities with the Lorentz-polarization factor, no thermal factor.

Largest 10 diffraction maxima, most intense first, 10 to 90 degrees two-theta:
2θ = 36.87°, intensity 100; 2θ = 17.65°, intensity 59; 2θ = 35.73°, intensity 55; 2θ = 15.45°, intensity 40; 2θ = 34.34°, intensity 39; 2θ = 32.48°, intensity 33; 2θ = 16.98°, intensity 33; 2θ = 23.03°, intensity 32; 2θ = 33.62°, intensity 25; 2θ = 47.98°, intensity 22

```
16
Lattice="10.446 0.000 0.000 0.000 3.144 5.734 0.000 -3.144 5.734" Properties=species:S:1:pos:R:3 pbc="T T T"
Ce 0.000 0.000 0.000
Hf 0.000 0.000 5.645
Mg 0.000 -1.561 2.853
Mg 0.000 1.561 2.853
Mg 2.551 0.000 7.575
Mg 2.670 -1.552 4.724
Mg 2.670 1.552 4.724
Mg 2.698 0.000 1.890
Mg 5.223 0.000 5.727
Mg 5.223 -1.562 8.579
Mg 5.223 1.562 8.579
Mg 5.223 0.000 11.439
Mg 7.748 0.000 1.890
Mg 7.776 -1.552 4.724
Mg 7.776 1.552 4.724
Mg 7.895 0.000 7.575
```

***

Record 4
Diffraction record for NdEuTiNbO6. The powder diffraction line list is computed, not measured: it uses the PBE geometry in the Materials Project and Cu Ka.
Kinematic intensities with the Lorentz-polarization factor, no thermal factor.

Largest 10 diffraction maxima, most intense first, 10 to 90 degrees two-theta:
2θ = 31.56°, intensity 100; 2θ = 56.21°, intensity 39; 2θ = 45.24°, intensity 31; 2θ = 65.91°, intensity 19; 2θ = 74.92°, intensity 17; 2θ = 38.92°, intensity 15; 2θ = 22.18°, intensity 9; 2θ = 83.55°, intensity 6; 2θ = 50.94°, intensity 5; 2θ = 79.27°, intensity 5

```
10
Lattice="0.000 4.008 4.008 4.008 0.000 4.008 4.008 4.008 0.000" Properties=species:S:1:pos:R:3 pbc="T T T"
Nd 0.000 0.000 0.000
Eu 4.008 4.008 4.008
Ti 2.004 2.004 2.004
Nb 6.013 6.013 6.013
O 2.004 2.004 0.030
O 2.004 0.030 2.004
O 3.978 2.004 2.004
O 0.030 2.004 2.004
O 2.004 3.978 2.004
O 2.004 2.004 3.978
```

***

Record 5
Diffraction record for CsRb2TlF6. The powder diffraction line list is computed, not measured: it uses the PBE geometry in the Materials Project and Cu Ka.
Kinematic intensities with the Lorentz-polarization factor, no thermal factor.

Largest 10 diffraction maxima, most intense first, 10 to 90 degrees two-theta:
2θ = 25.29°, intensity 100; 2θ = 44.56°, intensity 42; 2θ = 36.06°, intensity 34; 2θ = 70.78°, intensity 24; 2θ = 51.92°, intensity 22; 2θ = 58.61°, intensity 21; 2θ = 17.81°, intensity 21; 2θ = 82.09°, intensity 11; 2θ = 40.50°, intensity 9; 2θ = 87.61°, intensity 9

```
10
Lattice="0.000 4.981 4.981 4.981 0.000 4.981 4.981 4.981 0.000" Properties=species:S:1:pos:R:3 pbc="T T T"
Cs 0.000 0.000 0.000
Rb 2.490 2.490 2.490
Rb 7.471 7.471 7.471
Tl 4.981 4.981 4.981
F 4.981 4.981 2.784
F 4.981 2.784 4.981
F 7.178 4.981 4.981
F 2.784 4.981 4.981
F 4.981 7.178 4.981
F 4.981 4.981 7.178
```